Starting from DFT lattice parameters and positions (PBE), the X-ray diffraction stick pattern of PuBe2NiH8 was simulated for Cu Ka.

Crystal structure
```
data_PuBe2NiH8
_chemical_formula_sum 'Pu3 Be6 Ni3 H24'
_cell_length_a 4.1357
_cell_length_b 4.1357
_cell_length_c 17.4629
_cell_angle_alpha 90.00
_cell_angle_beta 90.00
_cell_angle_gamma 120.00
_symmetry_space_group_name_H-M 'R -3'
_symmetry_Int_Tables_number 148
_symmetry_space_group_name_Hall '-R 3'
loop_
_atom_site_label
_atom_site_type_symbol
_atom_site_fract_x
_atom_site_fract_y
_atom_site_fract_z
Pu1 Pu 0.0000 0.0000 0.0000
Be1 Be 0.0000 0.0000 0.2345
Ni1 Ni 0.0000 0.0000 0.5000
H1 H 0.0000 0.0000 0.3212
H2 H 0.0077 0.3544 0.7742
```

The 12 most intense peaks (15 to 90 degrees two-theta), low angle first:
2θ/deg, Rel. int., h k l
15.22, 39, 0 0 3
25.39, 39, 1 0 1
26.91, 100, 0 1 2
30.72, 24, 0 0 6
32.33, 74, 1 0 4
35.91, 17, 0 1 5
43.78, 33, 1 1 0
46.61, 17, 2 -1 3
48.86, 23, 0 1 8
52.14, 17, 2 0 2
54.43, 31, 1 1 6
55.46, 16, 0 2 4